Record 1
# Hf3Zn7Cu2
Theoretical X-ray diffraction stick pattern, copper Kα. Input: a crystal structure in Alexandria, relaxed with GGA-PBE.
Lines closer than 0.1° are merged.

Most intense lines, 5 to 70 degrees two-theta, in order of rising 2θ:
2θ/deg, Rel. int.
32.39, 45
34.89, 52
35.40, 36
40.68, 38
41.41, 100
44.03, 13
44.64, 12
60.99, 16
67.01, 23
67.80, 13

Structural model:
abc: 5.1432 5.1432 24.6783
angles: 90.00 90.00 120.00
Space group R-3m (No. 166, hexagonal axes)
Unique sites:
Hf1 0.0000 0.0000 0.0000 (multiplicity 3)
Hf2 0.0000 0.0000 0.1420 (multiplicity 6)
Zn1 0.0000 0.0000 0.5000 (multiplicity 3)
Zn2 0.0062 0.5031 0.9175 (multiplicity 18)
Cu1 0.0000 0.0000 0.3347 (multiplicity 6)



Record 2
# Hf6Zn5Cu
Theoretical X-ray diffraction stick pattern, copper Kα. Input: a crystal structure in Alexandria, relaxed with GGA-PBE.
Lines closer than 0.1° are merged.

Most intense lines, 5 to 70 degrees two-theta, in order of rising 2θ:
2θ/deg, Rel. int.
26.97, 9
27.11, 18
38.63, 100
38.75, 20
47.82, 8
55.60, 7
55.91, 14
63.21, 5
69.80, 14
69.98, 14

Structural model:
abc: 8.078 13.962 4.648
angles: 90.00 125.06 90.00
Space group C2/m (No. 12)
Unique sites:
Hf1 0.246 0.000 0.246 (multiplicity 4)
Hf2 0.248 0.165 0.748 (multiplicity 8)
Zn1 0.000 0.168 0.000 (multiplicity 4)
Zn2 0.000 0.333 0.500 (multiplicity 4)
Zn3 0.000 0.500 0.000 (multiplicity 2)
Cu1 0.000 0.000 0.500 (multiplicity 2)



Record 3
# Hf3Zn4Cu4
Theoretical X-ray diffraction stick pattern, copper Kα. Input: a crystal structure in Alexandria, relaxed with GGA-PBE.
Lines closer than 0.1° are merged.

Most intense lines, 5 to 70 degrees two-theta, in order of rising 2θ:
2θ/deg, Rel. int.
23.00, 23
26.36, 10
37.54, 11
38.31, 52
39.34, 100
42.23, 40
42.39, 70
58.32, 30
60.08, 12
62.79, 11

Structural model:
abc: 2.960 4.280 13.771
angles: 81.10 83.85 89.95
Space group P-1 (No. 2)
Unique sites:
Hf1 0.000 0.000 0.000 (multiplicity 1)
Hf2 0.138 0.640 0.721 (multiplicity 2)
Zn1 0.264 0.264 0.471 (multiplicity 2)
Zn2 0.409 0.907 0.186 (multiplicity 2)
Cu1 0.318 0.815 0.369 (multiplicity 2)
Cu2 0.457 0.454 0.092 (multiplicity 2)



Record 4
# Hf2Zn3Cu4
Theoretical X-ray diffraction stick pattern, copper Kα. Input: a crystal structure in Alexandria, relaxed with GGA-PBE.
Lines closer than 0.1° are merged.

Most intense lines, 5 to 70 degrees two-theta, in order of rising 2θ:
2θ/deg, Rel. int.
30.90, 25
35.54, 63
37.46, 100
39.08, 52
39.53, 51
42.89, 26
43.14, 61
44.84, 33
53.71, 22
64.11, 20

Structural model:
abc: 5.160 14.642 7.198
angles: 90.00 90.00 90.00
Space group Cmce (No. 64)
Unique sites:
Hf1 0.000 0.099 0.101 (multiplicity 8)
Zn1 0.000 0.000 0.500 (multiplicity 4)
Zn2 0.250 0.238 0.750 (multiplicity 8)
Cu1 0.000 0.171 0.484 (multiplicity 8)
Cu2 0.250 0.068 0.750 (multiplicity 8)



Record 5
# Hf2Zn15Cu2
Theoretical X-ray diffraction stick pattern, copper Kα. Input: a crystal structure in Alexandria, relaxed with GGA-PBE.
Lines closer than 0.1° are merged.

Most intense lines, 5 to 70 degrees two-theta, in order of rising 2θ:
2θ/deg, Rel. int.
29.13, 31
35.69, 41
36.58, 25
41.44, 60
41.55, 100
41.88, 32
42.34, 28
46.70, 22
60.38, 16
68.11, 16

Structural model:
abc: 8.7154 8.7154 12.9436
angles: 90.00 90.00 120.00
Space group R-3m (No. 166, hexagonal axes)
Unique sites:
Hf1 0.0000 0.0000 0.1687 (multiplicity 6)
Zn1 0.0000 0.2961 0.5000 (multiplicity 18)
Zn2 0.0000 0.5000 0.0000 (multiplicity 9)
Zn3 0.0098 0.5049 0.6483 (multiplicity 18)
Cu1 0.0000 0.0000 0.3962 (multiplicity 6)



Record 6
# Hf6Zn16Cu7
Theoretical X-ray diffraction stick pattern, copper Kα. Input: a crystal structure in Alexandria, relaxed with GGA-PBE.
Lines closer than 0.1° are merged.

Most intense lines, 5 to 70 degrees two-theta, in order of rising 2θ:
2θ/deg, Rel. int.
25.57, 10
32.34, 23
36.48, 33
38.77, 100
42.37, 75
45.08, 23
58.77, 13
63.06, 9
65.65, 27
67.18, 14

Structural model:
abc: 12.067 12.067 12.067
angles: 90.00 90.00 90.00
Space group Fm-3m (No. 225)
Unique sites:
Hf1 0.000 0.000 0.193 (multiplicity 24)
Zn1 0.120 0.120 0.380 (multiplicity 32)
Zn2 0.166 0.166 0.166 (multiplicity 32)
Cu1 0.000 0.000 0.500 (multiplicity 4)
Cu2 0.000 0.250 0.250 (multiplicity 24)



Which formula does entry 6 have? Hf6Zn16Cu7